(1)
This entry pairs a crystal structure of WN2O2F4 with its simulated PXRD pattern. Radiation: Cu Kα (weighted mean of Kα1 and Kα2). Structure: a DFT-relaxed cell (GGA+U, the Materials Project).
Neutral-atom scattering factors, no anomalous dispersion.

Structural model:
a = 6.1975 Å, b = 7.8499 Å, c = 7.9585 Å
α = 90.00°, β = 106.95°, γ = 90.00°
Atoms (fractional coordinates):
W1 0.1464 0.0000 0.2604
W2 0.8536 0.5000 0.7396
N1 0.2456 0.4852 0.4618
N2 0.4307 0.9955 0.8846
N3 0.5693 0.4955 0.1154
N4 0.7544 0.9852 0.5382
O1 0.0468 0.4339 0.9640
O2 0.1039 0.3470 0.8130
O3 0.8961 0.8470 0.1870
O4 0.9532 0.9339 0.0360
F1 0.0171 0.6937 0.7069
F2 0.2013 0.9601 0.5038
F3 0.3238 0.1528 0.1737
F4 0.3766 0.8375 0.2748
F5 0.6234 0.3375 0.7252
F6 0.6762 0.6528 0.8263
F7 0.7987 0.4601 0.4962
F8 0.9829 0.1937 0.2931

Most intense lines, 2θ = 10–80°, sorted by position:
| d (Å) | intensity | index |
| --- | --- | --- |
| 5.928 | 24 | 1 0 0 |
| 5.523 | 27 | 1 0 -1 |
| 5.465 | 100 | 0 1 1 |
| 4.731 | 43 | 1 1 0 |
| 4.517 | 28 | 1 1 -1 |
| 4.130 | 17 | 1 0 1 |
| 3.925 | 22 | 0 2 0 |
| 3.806 | 18 | 0 0 2 |
| 3.655 | 12 | 1 1 1 |
| 3.374 | 18 | 1 1 -2 |
| 2.424 | 19 | 2 2 -1 |
| 2.415 | 13 | 0 1 3 |

=====

(2)
This entry pairs a crystal structure of Li9Co7O16 with its simulated PXRD pattern. Radiation: Cu Kα (weighted mean of Kα1 and Kα2). Structure: a DFT-relaxed cell (GGA+U, the Materials Project).
Neutral-atom scattering factors, no anomalous dispersion.

Structural model:
a = 5.7277 Å, b = 5.7928 Å, c = 9.7200 Å
α = 91.39°, β = 98.25°, γ = 119.52°
Atoms (fractional coordinates):
Li1 0.0000 0.0000 0.0000
Li2 0.2440 0.1237 0.7478
Li3 0.2457 0.3670 0.2492
Li4 0.2458 0.8786 0.2488
Li5 0.2483 0.6247 0.7508
Li6 0.7517 0.3753 0.2492
Li7 0.7542 0.1214 0.7512
Li8 0.7543 0.6330 0.7508
Li9 0.7560 0.8763 0.2522
Co1 0.0002 0.2506 0.5001
Co2 0.0000 0.5000 0.0000
Co3 0.9998 0.7494 0.4999
Co4 0.5000 0.0000 0.0000
Co5 0.5005 0.2502 0.4999
Co6 0.5000 0.5000 0.0000
Co7 0.4995 0.7498 0.5001
O1 0.1228 0.0793 0.3788
O2 0.1241 0.5804 0.3802
O3 0.1376 0.7963 0.8952
O4 0.1466 0.3401 0.8954
O5 0.3581 0.9312 0.6150
O6 0.3605 0.4307 0.6160
O7 0.3673 0.6970 0.1098
O8 0.3890 0.1821 0.1108
O9 0.6110 0.8179 0.8892
O10 0.6327 0.3030 0.8902
O11 0.6395 0.5693 0.3840
O12 0.6419 0.0688 0.3850
O13 0.8534 0.6599 0.1046
O14 0.8624 0.2037 0.1048
O15 0.8759 0.4196 0.6198
O16 0.8772 0.9207 0.6212

Most intense lines, 2θ = 10–80°, sorted by position:
| d (Å) | intensity | index |
| --- | --- | --- |
| 4.780 | 100 | 0 0 2 |
| 2.491 | 15 | 0 2 -1 |
| 2.452 | 13 | 2 0 0 |
| 2.445 | 13 | -2 2 1 |
| 2.360 | 12 | 2 -2 1 |
| 2.084 | 28 | 0 2 -3 |
| 2.039 | 26 | 2 0 2 |
| 2.030 | 26 | -2 2 3 |
| 1.465 | 7 | 2 -2 5 |
| 1.461 | 7 | 2 0 -6 |
| 1.450 | 7 | 2 2 -1 |
| 1.448 | 7 | 2 -4 0 |

=====

(3)
This entry pairs a crystal structure of Li9Mn2Co5O16 with its simulated PXRD pattern. Radiation: Cu Kα (weighted mean of Kα1 and Kα2). Structure: a DFT-relaxed cell (GGA+U, the Materials Project).
Neutral-atom scattering factors, no anomalous dispersion.

Structural model:
a = 5.1165 Å, b = 5.8798 Å, c = 10.1205 Å
α = 105.79°, β = 100.34°, γ = 90.49°
Atoms (fractional coordinates):
Li1 0.0000 0.0000 0.0000
Li2 0.0007 0.4920 0.9947
Li3 0.2474 0.3561 0.2413
Li4 0.2596 0.8809 0.2459
Li5 0.5058 0.2386 0.4877
Li6 0.5082 0.7406 0.4910
Li7 0.7529 0.1211 0.7447
Li8 0.7539 0.1203 0.2441
Li9 0.7563 0.6151 0.7422
Mn1 0.0078 0.4896 0.4904
Mn2 0.5042 0.2416 0.9969
Co1 0.2527 0.8695 0.7420
Co2 0.2563 0.3684 0.7442
Co3 0.5118 0.7534 0.0013
Co4 0.7539 0.6109 0.2421
Co5 0.9873 0.9901 0.4830
O1 0.1200 0.6733 0.3750
O2 0.1264 0.2005 0.3807
O3 0.1519 0.1839 0.8674
O4 0.1538 0.6858 0.8656
O5 0.3558 0.5532 0.6188
O6 0.3570 0.0494 0.6227
O7 0.3827 0.0597 0.1072
O8 0.3897 0.5360 0.1111
O9 0.6059 0.4243 0.8720
O10 0.6165 0.9508 0.8782
O11 0.6490 0.9265 0.3720
O12 0.6647 0.4446 0.3719
O13 0.8463 0.3072 0.1110
O14 0.8554 0.7895 0.1181
O15 0.8961 0.7851 0.6113
O16 0.8997 0.3122 0.6126

Most intense lines, 2θ = 10–80°, sorted by position:
| d (Å) | intensity | index |
| --- | --- | --- |
| 4.840 | 100 | 1 0 -1 |
| 2.524 | 14 | 0 2 1 |
| 2.486 | 26 | 0 2 -3 |
| 2.391 | 7 | 1 -2 2 |
| 2.105 | 29 | -1 2 2 |
| 2.069 | 27 | 2 0 2 |
| 2.064 | 27 | 1 2 -4 |
| 1.480 | 8 | 3 -2 0 |
| 1.478 | 8 | 2 0 -6 |
| 1.471 | 7 | 1 2 4 |
| 1.470 | 15 | 0 4 -2 |
| 1.453 | 7 | 1 -2 6 |

=====

(4)
This entry pairs a crystal structure of Y2MnCoO6 with its simulated PXRD pattern. Radiation: Cu Kα (weighted mean of Kα1 and Kα2). Structure: a DFT-relaxed cell (GGA+U, the Materials Project).
Neutral-atom scattering factors, no anomalous dispersion.

Structural model:
a = 5.3008 Å, b = 5.6514 Å, c = 9.2271 Å
α = 90.00°, β = 124.79°, γ = 90.00°
Atoms (fractional coordinates):
Y1 0.2295 0.0713 0.2500
Y2 0.2295 0.4287 0.7500
Y3 0.7705 0.5713 0.2500
Y4 0.7705 0.9287 0.7500
Mn1 0.5000 0.0000 0.0000
Mn2 0.5000 0.5000 0.5000
Co1 0.0000 0.0000 0.5000
Co2 0.0000 0.5000 0.0000
O1 0.1493 0.1867 0.9467
O2 0.1493 0.3133 0.4467
O3 0.2593 0.7084 0.9416
O4 0.2593 0.7916 0.4416
O5 0.3661 0.0389 0.7562
O6 0.3661 0.4611 0.2562
O7 0.6339 0.5389 0.7438
O8 0.6339 0.9611 0.2438
O9 0.7407 0.2084 0.5584
O10 0.7407 0.2916 0.0584
O11 0.8507 0.6867 0.5533
O12 0.8507 0.8133 0.0533

Most intense lines, 2θ = 10–80°, sorted by position:
| d (Å) | intensity | index |
| --- | --- | --- |
| 3.444 | 36 | 1 1 0 |
| 2.826 | 39 | 0 2 0 |
| 2.711 | 100 | 1 1 1 |
| 2.701 | 100 | 1 1 -3 |
| 2.650 | 66 | 2 0 -2 |
| 1.933 | 41 | 2 2 -2 |
| 1.894 | 31 | 0 0 4 |
| 1.873 | 22 | 2 2 -1 |
| 1.728 | 31 | 1 3 0 |
| 1.574 | 18 | 0 2 4 |
| 1.544 | 35 | 3 1 -1 |
| 1.538 | 38 | 2 0 -6 |